Structure and computed XRD peak list of AcMgNi2P2 (a cell relaxed with PBE; Cu Kα).
Lines closer than 0.1° are merged.

Crystal structure
a = 4.0464 Å, b = 4.0464 Å, c = 7.1595 Å
α = 90.00°, β = 90.00°, γ = 120.00°
Space group P-3m1 (No. 164)
Asymmetric unit:
1 Ac 0.0000 0.0000 0.0000
2 Mg 0.0000 0.0000 0.5000
3 Ni 0.3333 0.6667 0.6647
4 P 0.3333 0.6667 0.2937

Most intense lines, 2θ from 10° to 80°, most intense first:
| hkl | 2theta | I_rel |
| --- | --- | --- |
| 1 0 1 | 28.36 | 100 |
| 0 1 2 | 35.86 | 91 |
| 1 1 0 | 44.80 | 48 |
| 1 1 3 | 59.94 | 28 |
| 1 0 0 | 25.42 | 25 |
| 2 0 2 | 58.66 | 22 |

Structure and computed XRD peak list of AcMgZnNi (a cell relaxed with PBE; Cu Kα).
Lines closer than 0.1° are merged.

Crystal structure
a = 7.8622 Å, b = 4.5624 Å, c = 5.7812 Å
α = 90.00°, β = 116.92°, γ = 90.00°
Space group Cm (No. 8)
Asymmetric unit:
1 Ac 0.0000 0.0000 0.0000
2 Mg 0.4912 0.0000 0.4714
3 Zn 0.2028 0.0000 0.6078
4 Ni 0.3137 0.5000 0.4367

Most intense lines, 2θ from 10° to 80°, most intense first:
| hkl | 2theta | I_rel |
| --- | --- | --- |
| 1 1 0 | 23.29 | 100 |
| 1 1 -2 | 36.95 | 58 |
| 2 0 -2 | 32.44 | 56 |
| 3 1 -1 | 39.66 | 43 |
| 2 0 0 | 25.37 | 27 |
| 3 1 1 | 53.78 | 23 |